Calculated powder diffraction line list
Compound: Ni2BClO3
Radiation: Cu Kα, 1.54184 Å
Structure: a crystal structure in Alexandria, relaxed with PBE+U
No peak broadening, texture or thermal motion is included.

The 12 most intense peaks (2θ = 10–90°), sorted by position:
| 2θ (°) | d (Å) | I (rel.) |
| --- | --- | --- |
| 16.10 | 5.504 | 42 |
| 19.15 | 4.635 | 40 |
| 32.86 | 2.726 | 19 |
| 36.11 | 2.487 | 49 |
| 37.65 | 2.389 | 20 |
| 42.66 | 2.119 | 29 |
| 43.42 | 2.084 | 100 |
| 50.30 | 1.814 | 14 |
| 58.86 | 1.569 | 32 |
| 59.87 | 1.545 | 11 |
| 67.15 | 1.394 | 25 |
| 83.39 | 1.159 | 18 |

Structural model:
```
Ni2BClO3
1.0
2.7880 1.6096 5.5038
-2.7880 1.6096 5.5038
0.0000 -3.2193 5.5038
Ni B Cl O
4 2 2 6
Direct
0.0000 0.0000 0.0000 Ni
0.0000 0.0000 0.5000 Ni
0.0000 0.5000 0.0000 Ni
0.5000 0.0000 0.0000 Ni
0.4200 0.4200 0.4200 B
0.5800 0.5800 0.5800 B
0.2652 0.2652 0.2652 Cl
0.7348 0.7348 0.7348 Cl
0.2761 0.2761 0.7216 O
0.2761 0.7216 0.2761 O
0.2784 0.7239 0.7239 O
0.7216 0.2761 0.2761 O
0.7239 0.2784 0.7239 O
0.7239 0.7239 0.2784 O
```